Calculated X-ray diffraction stick pattern of SrAcBi2O8 for a wavelength of 1.5418 Å, from a DFT-relaxed cell (PBE, Alexandria).
Kinematic intensities with the Lorentz-polarization factor, no thermal factor.

Most intense lines, 15° ≤ 2θ ≤ 90°, most intense first:
2theta, intensity
26.68, 100
44.02, 32
52.89, 31
31.25, 23
51.54, 17
44.78, 16
70.62, 14
30.21, 14

Cell and atoms:
```
data_SrAcBi2O8
_chemical_formula_sum 'Sr2 Ac2 Bi4 O16'
_space_group_name_H-M_alt 'I -4'
_space_group_IT_number 82
_cell_length_a 5.7244
_cell_length_b 5.7244
_cell_length_c 11.8352
_cell_angle_alpha 90.00
_cell_angle_beta 90.00
_cell_angle_gamma 90.00
loop_
_space_group_symop_operation_xyz
'x,y,z'
'y,-x,-z'
'-x,-y,z'
'-y,x,-z'
'x+1/2,y+1/2,z+1/2'
'y+1/2,-x+1/2,-z+1/2'
'-x+1/2,-y+1/2,z+1/2'
'-y+1/2,x+1/2,-z+1/2'
loop_
_atom_site_label
_atom_site_type_symbol
_atom_site_fract_x
_atom_site_fract_y
_atom_site_fract_z
Sr1 Sr 0.0000 0.0000 0.0000
Ac1 Ac 0.0000 0.5000 0.7500
Bi1 Bi 0.0000 0.0000 0.5000
Bi2 Bi 0.0000 0.5000 0.2500
O1 O 0.1872 0.2392 0.5941
O2 O 0.1910 0.7376 0.1572
```